Starting from a structure optimized by DFT (PBE+U), the powder X-ray diffraction pattern of MgV4O5F7 was simulated for Cu Kα.
Lines closer than 0.1° are merged.

Top 6 peaks for 2θ = 5–70°, by angle:
index  two_theta  Rel. int.
0 1 -1  22.84  100
1 0 -1  23.73  90
1 1 2  24.04  88
1 2 1  32.45  46
0 1 3  33.12  26
-1 1 4  53.65  28

Structure:
abc: 5.139 5.538 9.106
angles: 73.21 74.48 62.37
Space group P1 (No. 1)
One atom of each set of equivalent atoms:
Mg1 0.000 0.000 0.000
V1 0.043 0.244 0.627
V2 0.266 0.499 0.873
V3 0.628 0.686 0.165
V4 0.820 0.990 0.384
O1 0.232 0.414 0.717
O2 0.752 0.933 0.204
O3 0.800 0.364 0.261
O4 0.896 0.085 0.563
O5 0.896 0.701 0.968
F1 0.256 0.820 0.317
F2 0.263 0.891 0.778
F3 0.274 0.152 0.013
F4 0.376 0.625 0.052
F5 0.387 0.178 0.465
F6 0.741 0.306 0.837
F7 0.828 0.619 0.520